[1]
Ac6AgPb5: simulated X-ray powder pattern (Cu Kα (λ = 1.5418 Å)), based on a cell relaxed with PBE.
Peak positions follow from Bragg's law for the DFT cell and can differ from measured ones.

Principal peaks in the range 2θ = 10–90°, most intense first:
- (2 0 1), 2θ 29.96, 2.983 Å, I 100
- (1 2 0), 2θ 30.30, 2.949 Å, I 97
- (1 2 3), 2θ 32.04, 2.794 Å, I 84
- (3 2 1), 2θ 52.26, 1.750 Å, I 33
- (1 2 6), 2θ 55.60, 1.653 Å, I 27
- (2 4 3), 2θ 56.23, 1.636 Å, I 26
- (2 0 -2), 2θ 40.17, 2.245 Å, I 23
- (2 0 4), 2θ 45.46, 1.995 Å, I 16
- (0 4 2), 2θ 46.43, 1.956 Å, I 16
- (2 4 6), 2θ 66.99, 1.397 Å, I 16

Structure:
Cell: 6.0021 7.8236 9.9578 Å, 66.97 78.73 89.97°
Space group P-1 (No. 2)
Unique sites:
Ac 0.0009 0.2505 0.4990 (multiplicity 2)
Ac 0.3364 0.0863 0.8310 (multiplicity 2)
Ac 0.3366 0.5865 0.8315 (multiplicity 2)
Ag 0.5000 0.0000 0.5000 (multiplicity 1)
Pb 0.1644 0.6678 0.1648 (multiplicity 2)
Pb 0.1651 0.1619 0.1725 (multiplicity 2)
Pb 0.5000 0.5000 0.5000 (multiplicity 1)

***

[2]
Sc5Sb2: simulated X-ray powder pattern (Cu Kα (λ = 1.5418 Å)), based on a cell relaxed with PBE.
Peak positions follow from Bragg's law for the DFT cell and can differ from measured ones.

Principal peaks in the range 2θ = 10–90°, most intense first:
- (1 9 1), 2θ 37.24, 2.414 Å, I 100
- (1 1 1), 2θ 29.84, 2.994 Å, I 47
- (1 5 1), 2θ 32.22, 2.778 Å, I 39
- (0 14 0), 2θ 34.38, 2.608 Å, I 30
- (1 5 0), 2θ 24.19, 3.679 Å, I 28
- (2 0 0), 2θ 42.46, 2.129 Å, I 27
- (0 0 2), 2θ 42.67, 2.119 Å, I 27
- (0 4 1), 2θ 23.14, 3.844 Å, I 26
- (2 0 2), 2θ 61.77, 1.502 Å, I 17
- (0 14 1), 2θ 40.61, 2.222 Å, I 15

Structure:
Cell: 4.2582 36.5233 4.2381 Å, 90.00 90.00 90.00°
Space group Cmcm (No. 63)
Unique sites:
Sc 0.0000 0.0344 0.2500 (multiplicity 4)
Sc 0.0000 0.1763 0.7500 (multiplicity 4)
Sc 0.0000 0.2499 0.2500 (multiplicity 4)
Sc 0.0000 0.3904 0.7500 (multiplicity 4)
Sc 0.0000 0.4650 0.2500 (multiplicity 4)
Sb 0.0000 0.0952 0.7500 (multiplicity 4)
Sb 0.0000 0.3100 0.7500 (multiplicity 4)

***

[3]
Tb5DyIn8: simulated X-ray powder pattern (Cu Kα (λ = 1.5418 Å)), based on a cell relaxed with PBE.
Peak positions follow from Bragg's law for the DFT cell and can differ from measured ones.

Principal peaks in the range 2θ = 10–90°, most intense first:
- (1 3 0), 2θ 30.72, 2.911 Å, I 100
- (1 3 2), 2θ 36.53, 2.460 Å, I 86
- (4 2 0), 2θ 44.00, 2.058 Å, I 21
- (6 1 1), 2θ 62.13, 1.494 Å, I 20
- (5 4 1), 2θ 65.75, 1.420 Å, I 17
- (2 1 1), 2θ 23.68, 3.758 Å, I 17
- (4 2 2), 2θ 48.45, 1.879 Å, I 16
- (3 3 2), 2θ 46.27, 1.962 Å, I 13
- (1 4 3), 2θ 50.57, 1.805 Å, I 12
- (5 5 2), 2θ 75.95, 1.253 Å, I 11

Structure:
Cell: 9.2111 9.2111 9.1900 Å, 90.00 90.00 90.00°
Space group I-4 (No. 82)
Unique sites:
Tb 0.0000 0.0000 0.0000 (multiplicity 2)
Tb 0.1244 0.7527 0.6242 (multiplicity 8)
Dy 0.0000 0.5000 0.2500 (multiplicity 2)
In 0.0827 0.6649 0.9590 (multiplicity 8)
In 0.0858 0.8327 0.2891 (multiplicity 8)

***

[4]
Rb2GaIO6: simulated X-ray powder pattern (Cu Kα (λ = 1.5418 Å)), based on a cell relaxed with PBE.
Peak positions follow from Bragg's law for the DFT cell and can differ from measured ones.

Principal peaks in the range 2θ = 10–90°, most intense first:
- (1 1 0), 2θ 30.15, 2.964 Å, I 100
- (0 1 8), 2θ 30.59, 2.923 Å, I 37
- (1 0 7), 2θ 28.01, 3.186 Å, I 30
- (0 1 2), 2θ 18.37, 4.828 Å, I 26
- (0 2 7), 2θ 41.62, 2.170 Å, I 24
- (2 2 0), 2θ 62.70, 1.482 Å, I 20
- (3 0 0), 2θ 53.56, 1.711 Å, I 19
- (2 0 8), 2θ 43.49, 2.081 Å, I 18
- (1 2 8), 2θ 53.83, 1.703 Å, I 17
- (1 0 10), 2θ 36.10, 2.488 Å, I 15

Structure:
Cell: 5.9274 5.9274 28.4444 Å, 90.00 90.00 120.00°
Space group R-3m (No. 166, hexagonal axes)
Unique sites:
Rb 0.0000 0.0000 0.1298 (multiplicity 6)
Rb 0.0000 0.0000 0.2801 (multiplicity 6)
Ga 0.0000 0.0000 0.4034 (multiplicity 6)
I 0.0000 0.0000 0.0000 (multiplicity 3)
I 0.0000 0.0000 0.5000 (multiplicity 3)
O 0.0243 0.5121 0.7060 (multiplicity 18)
O 0.0466 0.5233 0.1240 (multiplicity 18)

***

Please write out number 2 again, unchanged.
Sc5Sb2: simulated X-ray powder pattern (Cu Kα (λ = 1.5418 Å)), based on a cell relaxed with PBE.
Peak positions follow from Bragg's law for the DFT cell and can differ from measured ones.

Principal peaks in the range 2θ = 10–90°, most intense first:
- (1 9 1), 2θ 37.24, 2.414 Å, I 100
- (1 1 1), 2θ 29.84, 2.994 Å, I 47
- (1 5 1), 2θ 32.22, 2.778 Å, I 39
- (0 14 0), 2θ 34.38, 2.608 Å, I 30
- (1 5 0), 2θ 24.19, 3.679 Å, I 28
- (2 0 0), 2θ 42.46, 2.129 Å, I 27
- (0 0 2), 2θ 42.67, 2.119 Å, I 27
- (0 4 1), 2θ 23.14, 3.844 Å, I 26
- (2 0 2), 2θ 61.77, 1.502 Å, I 17
- (0 14 1), 2θ 40.61, 2.222 Å, I 15

Structure:
Cell: 4.2582 36.5233 4.2381 Å, 90.00 90.00 90.00°
Space group Cmcm (No. 63)
Unique sites:
Sc 0.0000 0.0344 0.2500 (multiplicity 4)
Sc 0.0000 0.1763 0.7500 (multiplicity 4)
Sc 0.0000 0.2499 0.2500 (multiplicity 4)
Sc 0.0000 0.3904 0.7500 (multiplicity 4)
Sc 0.0000 0.4650 0.2500 (multiplicity 4)
Sb 0.0000 0.0952 0.7500 (multiplicity 4)
Sb 0.0000 0.3100 0.7500 (multiplicity 4)